1.
Diffraction record for PrMg2Al2Ga. The XRD peak list is theoretical, not measured: it uses DFT lattice parameters and positions (GGA-PBE) and Cu Kα, 1.54184 Å.
Kinematic intensities with the Lorentz-polarization factor, no thermal factor.

Cell and atoms:
a b c (Å): 4.3313 4.3313 16.8687
angles (deg): 90.00 90.00 90.00
Fractional coordinates of all 12 atoms:
Pr 0.0000 0.0000 0.0000
Pr 0.5000 0.5000 0.5000
Mg 0.0000 0.5000 0.2500
Mg 0.0000 0.5000 0.7500
Mg 0.5000 0.0000 0.2500
Mg 0.5000 0.0000 0.7500
Al 0.0000 0.0000 0.3599
Al 0.0000 0.0000 0.6401
Al 0.5000 0.5000 0.1401
Al 0.5000 0.5000 0.8599
Ga 0.0000 0.0000 0.5000
Ga 0.5000 0.5000 0.0000

Top 10 peaks for 2θ = 10–90°, by angle:
two_theta, I/Imax
10.49, 1000
21.07, 446
25.97, 313
29.16, 407
31.07, 955
41.71, 331
43.71, 492
47.18, 223
61.37, 189
69.53, 180



2.
Diffraction record for PaFe10B3. The XRD peak list is theoretical, not measured: it uses DFT lattice parameters and positions (GGA-PBE) and Cu Kα, 1.54184 Å.
Kinematic intensities with the Lorentz-polarization factor, no thermal factor.

Cell and atoms:
a b c (Å): 7.5894 7.5894 7.5894
angles (deg): 60.00 60.00 60.00
Fractional coordinates of all 28 atoms:
Pa 0.2500 0.2500 0.2500
Pa 0.7500 0.7500 0.7500
Fe 0.0000 0.0000 0.3321
Fe 0.0000 0.0000 0.6679
Fe 0.0000 0.3321 0.0000
Fe 0.0000 0.3321 0.6679
Fe 0.0000 0.6679 0.0000
Fe 0.0000 0.6679 0.3321
Fe 0.1490 0.6170 0.6170
Fe 0.3321 0.0000 0.0000
Fe 0.3321 0.0000 0.6679
Fe 0.3321 0.6679 0.0000
Fe 0.3830 0.3830 0.3830
Fe 0.3830 0.3830 0.8510
Fe 0.3830 0.8510 0.3830
Fe 0.6170 0.1490 0.6170
Fe 0.6170 0.6170 0.1490
Fe 0.6170 0.6170 0.6170
Fe 0.6679 0.0000 0.0000
Fe 0.6679 0.0000 0.3321
Fe 0.6679 0.3321 0.0000
Fe 0.8510 0.3830 0.3830
B 0.2747 0.2747 0.7253
B 0.2747 0.7253 0.2747
B 0.2747 0.7253 0.7253
B 0.7253 0.2747 0.2747
B 0.7253 0.2747 0.7253
B 0.7253 0.7253 0.2747

Top 10 peaks for 2θ = 10–90°, by angle:
two_theta, I/Imax
16.52, 591
23.44, 247
37.47, 1000
41.20, 646
43.83, 532
47.95, 325
50.29, 238
56.91, 296
72.64, 288
75.10, 304



3.
Diffraction record for NdPd2Pb4. The XRD peak list is theoretical, not measured: it uses DFT lattice parameters and positions (GGA-PBE) and Cu Kα, 1.54184 Å.
Kinematic intensities with the Lorentz-polarization factor, no thermal factor.

Cell and atoms:
a b c (Å): 19.7753 4.6304 7.7437
angles (deg): 90.00 90.00 90.00
Fractional coordinates of all 28 atoms:
Nd 0.1444 0.2500 0.0324
Nd 0.3556 0.7500 0.5324
Nd 0.6444 0.2500 0.4676
Nd 0.8556 0.7500 0.9676
Pd 0.0430 0.7500 0.2326
Pd 0.2175 0.2500 0.5374
Pd 0.2825 0.7500 0.0374
Pd 0.4570 0.2500 0.7326
Pd 0.5430 0.7500 0.2674
Pd 0.7175 0.2500 0.9626
Pd 0.7825 0.7500 0.4626
Pd 0.9570 0.2500 0.7674
Pb 0.0317 0.7500 0.8609
Pb 0.0671 0.2500 0.4978
Pb 0.1828 0.7500 0.3227
Pb 0.1909 0.7500 0.7434
Pb 0.3091 0.2500 0.2434
Pb 0.3172 0.2500 0.8227
Pb 0.4329 0.7500 0.9978
Pb 0.4683 0.2500 0.3609
Pb 0.5317 0.7500 0.6391
Pb 0.5671 0.2500 0.0022
Pb 0.6828 0.7500 0.1773
Pb 0.6909 0.7500 0.7566
Pb 0.8091 0.2500 0.2566
Pb 0.8172 0.2500 0.6773
Pb 0.9329 0.7500 0.5022
Pb 0.9683 0.2500 0.1391

Top 10 peaks for 2θ = 10–90°, by angle:
two_theta, I/Imax
30.43, 214
31.45, 1000
31.92, 732
33.37, 241
33.77, 256
37.42, 212
38.90, 514
40.90, 299
58.67, 185
59.54, 185



4.
Diffraction record for Na2AlGa7. The XRD peak list is theoretical, not measured: it uses DFT lattice parameters and positions (GGA-PBE) and Cu Kα, 1.54184 Å.
Kinematic intensities with the Lorentz-polarization factor, no thermal factor.

Cell and atoms:
a b c (Å): 4.2545 4.2545 11.2858
angles (deg): 90.00 90.00 90.00
Fractional coordinates of all 10 atoms:
Na 0.0000 0.5000 0.2494
Na 0.5000 0.0000 0.7506
Al 0.0000 0.0000 0.5000
Ga 0.0000 0.0000 0.0000
Ga 0.0000 0.5000 0.6398
Ga 0.0000 0.5000 0.8599
Ga 0.5000 0.0000 0.1401
Ga 0.5000 0.0000 0.3602
Ga 0.5000 0.5000 0.0000
Ga 0.5000 0.5000 0.5000

Top 10 peaks for 2θ = 10–90°, by angle:
two_theta, I/Imax
15.70, 275
22.33, 772
31.75, 369
33.76, 1000
42.50, 736
44.00, 853
45.50, 451
61.66, 234
64.01, 286
78.81, 295



Repeat the fourth record exactly.
Diffraction record for Na2AlGa7. The XRD peak list is theoretical, not measured: it uses DFT lattice parameters and positions (GGA-PBE) and Cu Kα, 1.54184 Å.
Kinematic intensities with the Lorentz-polarization factor, no thermal factor.

Cell and atoms:
a b c (Å): 4.2545 4.2545 11.2858
angles (deg): 90.00 90.00 90.00
Fractional coordinates of all 10 atoms:
Na 0.0000 0.5000 0.2494
Na 0.5000 0.0000 0.7506
Al 0.0000 0.0000 0.5000
Ga 0.0000 0.0000 0.0000
Ga 0.0000 0.5000 0.6398
Ga 0.0000 0.5000 0.8599
Ga 0.5000 0.0000 0.1401
Ga 0.5000 0.0000 0.3602
Ga 0.5000 0.5000 0.0000
Ga 0.5000 0.5000 0.5000

Top 10 peaks for 2θ = 10–90°, by angle:
two_theta, I/Imax
15.70, 275
22.33, 772
31.75, 369
33.76, 1000
42.50, 736
44.00, 853
45.50, 451
61.66, 234
64.01, 286
78.81, 295